The following is a simulated powder diffraction line list of Re2Ir6Rh. It was derived from a PBE-relaxed structure, using a wavelength of 1.5418 Å.

Top 12 peaks for 2θ = 5–70°, by intensity:
2θ (°)  I/Imax
40.3  100
40.4  100
46.9  65
68.4  53
46.8  33
68.7  11
11.0  3
15.2  2
23.9  1
16.7  1
20.8  1
33.7  1

Cell and atoms:
```
Re2Ir6Rh
1.0
5.979 -1.367 0.000
5.979 1.367 0.000
-1.875 0.000 8.011
Re Ir Rh
2 6 1
Direct
0.168 0.168 0.224 Re
0.832 0.832 0.776 Re
0.168 0.168 0.891 Ir
0.169 0.169 0.554 Ir
0.500 0.500 0.330 Ir
0.500 0.500 0.670 Ir
0.831 0.831 0.446 Ir
0.832 0.832 0.109 Ir
0.500 0.500 0.000 Rh
```

The following is a simulated powder diffraction line list of ReIr3Rh2. It was derived from a PBE-relaxed structure, using a wavelength of 1.5418 Å.

Top 12 peaks for 2θ = 5–70°, by intensity:
2θ (°)  I/Imax
40.3  100
46.9  38
39.0  30
45.8  20
36.6  16
68.3  15
42.9  14
13.2  12
44.5  10
52.0  9
68.5  9
69.3  8

Cell and atoms:
```
ReIr3Rh2
1.0
2.713 -6.711 0.000
2.713 6.711 0.000
0.000 0.000 4.914
Re Ir Rh
2 6 4
Direct
0.149 0.851 0.750 Re
0.851 0.149 0.250 Re
0.068 0.428 0.750 Ir
0.349 0.651 0.250 Ir
0.428 0.068 0.250 Ir
0.572 0.932 0.750 Ir
0.651 0.349 0.750 Ir
0.932 0.572 0.250 Ir
0.246 0.246 0.000 Rh
0.246 0.246 0.500 Rh
0.754 0.754 0.000 Rh
0.754 0.754 0.500 Rh
```